Structure and simulated X-ray diffraction stick pattern of LiSm4Ti2Mn2O12 (a structure optimized by DFT (PBE+U); CuKα).
Intensities are scaled so that the largest is 100.

Largest 8 diffraction maxima, in order of falling intensity, 5° ≤ 2θ ≤ 70°:
d 2.781, 32.19 deg, rel. 100.0
d 2.864, 31.23 deg, rel. 60.4
d 4.002, 22.21 deg, rel. 49.8
d 2.727, 32.85 deg, rel. 45.7
d 2.737, 32.72 deg, rel. 40.7
d 2.876, 31.09 deg, rel. 35.6
d 2.912, 30.71 deg, rel. 30.5
d 2.004, 45.26 deg, rel. 26.0

Cell and atoms:
a = 5.459 Å, b = 5.824 Å, c = 8.022 Å
α = 89.89°, β = 87.51°, γ = 89.63°
Space group P1 (No. 1)
Unique sites:
Li1 0.000 0.000 0.000
Sm1 0.142 0.033 0.660
Sm2 0.214 0.211 0.223
Sm3 0.631 0.688 0.177
Sm4 0.683 0.548 0.670
Ti1 0.150 0.581 0.928
Ti2 0.678 0.112 0.429
Mn1 0.169 0.619 0.433
Mn2 0.610 0.114 0.914
O1 0.038 0.573 0.167
O2 0.276 0.649 0.697
O3 0.323 0.911 0.008
O4 0.372 0.919 0.389
O5 0.448 0.425 0.996
O6 0.490 0.422 0.377
O7 0.546 0.159 0.662
O8 0.796 0.069 0.192
O9 0.851 0.788 0.875
O10 0.862 0.820 0.493
O11 0.976 0.300 0.864
O12 0.977 0.308 0.479